No. 1
For RbLi2Zr3O8, a DFT-relaxed cell (GGA-PBE, Alexandria) gives the computed powder X-ray diffraction pattern in this record (Cu Kα).
Lines closer than 0.1° are merged.

Peak list (10 most intense, 15° ≤ 2θ ≤ 90°, sorted by position)
d_spacing	2theta	I/Imax
5.458	16.24	38
4.932	17.99	70
3.745	23.76	76
3.322	26.84	41
2.939	30.42	67
2.809	31.85	100
2.466	36.44	61
2.010	45.11	83
1.872	48.63	35
1.638	56.14	42

```
14
Lattice="3.277 1.892 6.644 -3.277 1.892 6.644 0.000 -3.784 6.644" Properties=species:S:1:pos:R:3 pbc="T T T"
Rb 0.000 0.000 0.000
Li 0.000 0.000 6.194
Li 0.000 0.000 16.014
Zr 0.000 -1.869 10.446
Zr -1.618 0.934 10.446
Zr 1.618 0.934 10.446
O 0.000 -1.560 5.043
O -1.351 0.780 5.043
O 0.000 0.000 2.745
O -1.600 -0.924 9.488
O 1.351 0.780 5.043
O 0.000 0.000 11.516
O 1.600 -0.924 9.488
O 0.000 1.848 9.488
```

No. 2
For Li5ReO8, a DFT-relaxed cell (GGA-PBE, Alexandria) gives the computed powder X-ray diffraction pattern in this record (Cu Kα).
Lines closer than 0.1° are merged.

Peak list (10 most intense, 15° ≤ 2θ ≤ 90°, sorted by position)
d_spacing	2theta	I/Imax
4.575	19.40	100
4.542	19.55	66
3.212	27.78	35
2.648	33.86	14
2.629	34.11	32
2.058	44.00	24
2.033	44.57	32
1.733	52.84	15
1.724	53.13	16
1.718	53.31	16

```
14
Lattice="-3.212 3.212 3.259 3.212 -3.212 3.259 3.212 3.212 -3.259" Properties=species:S:1:pos:R:3 pbc="T T T"
Li 0.000 0.000 0.000
Li 1.822 3.212 -0.850
Li 1.389 0.000 2.409
Li 3.212 1.822 0.850
Li 0.000 1.389 4.109
Re 0.000 3.212 1.629
O 2.468 0.000 0.359
O 3.955 0.000 0.359
O 3.212 1.859 -1.257
O 3.212 -0.744 2.900
O 0.000 1.353 2.002
O 3.212 0.744 2.900
O 1.859 3.212 1.257
O 1.353 0.000 4.516
```

No. 3
For Li5ReO6, a DFT-relaxed cell (GGA-PBE, Alexandria) gives the computed powder X-ray diffraction pattern in this record (Cu Kα).
Lines closer than 0.1° are merged.

Peak list (10 most intense, 15° ≤ 2θ ≤ 90°, sorted by position)
d_spacing	2theta	I/Imax
4.767	18.61	68
4.421	20.09	55
4.223	21.04	100
3.760	23.66	74
3.241	27.52	48
2.780	32.20	30
2.512	35.74	34
2.402	37.44	31
2.077	43.57	57
1.659	55.39	19

```
36
Lattice="5.104 0.000 0.000 -2.552 4.421 0.000 0.000 0.000 14.301" Properties=species:S:1:pos:R:3 pbc="T T T"
Li -0.928 2.411 0.000
Li 0.000 0.881 9.534
Li -1.789 3.980 4.767
Li 0.000 0.990 2.384
Li -1.695 3.926 11.918
Li 1.695 0.979 7.151
Li 1.714 0.990 0.000
Li 0.928 2.411 4.767
Li 0.000 4.019 9.534
Li 3.390 0.990 4.767
Li 2.552 2.441 9.534
Li 1.695 3.926 7.151
Li 3.409 0.979 11.918
Li 2.552 2.463 2.384
Li 1.789 3.980 0.000
Re -0.854 2.454 7.151
Re 0.854 2.454 11.918
Re 0.000 3.934 2.384
O -0.089 1.101 6.035
O -1.643 3.793 8.266
O -0.694 2.441 10.831
O -0.785 2.599 3.470
O 0.089 1.101 13.033
O -1.554 3.947 1.268
O 0.694 2.441 8.237
O -0.091 3.801 6.064
O 1.771 0.871 3.491
O 1.639 1.098 10.810
O 0.785 2.599 1.297
O 0.091 3.801 13.004
O 1.643 3.793 10.802
O 1.554 3.947 3.499
O 3.333 0.871 1.276
O 2.421 2.452 13.025
O 3.465 1.098 8.258
O 2.684 2.452 6.043
```

No. 4
For LiReO3, a DFT-relaxed cell (GGA-PBE, Alexandria) gives the computed powder X-ray diffraction pattern in this record (Cu Kα).
Lines closer than 0.1° are merged.

Peak list (10 most intense, 15° ≤ 2θ ≤ 90°, sorted by position)
d_spacing	2theta	I/Imax
5.172	17.14	100
4.220	21.05	13
3.791	23.47	12
3.288	27.12	12
2.499	35.93	24
2.484	36.17	15
2.403	37.42	19
2.125	42.54	22
2.102	43.03	13
1.673	54.89	13

```
20
Lattice="5.251 -4.387 0.000 5.251 4.387 0.000 -0.870 0.000 4.967" Properties=species:S:1:pos:R:3 pbc="T T T"
Li 1.632 0.901 1.610
Li 1.197 -0.901 4.094
Li 8.436 0.901 0.874
Li 8.001 -0.901 3.357
Re 5.034 2.352 1.242
Re 4.599 0.443 3.726
Re 5.034 -0.443 1.242
Re 4.599 -2.352 3.726
O 0.618 0.817 3.321
O 3.468 1.951 4.499
O 1.053 -0.817 0.837
O 3.575 0.830 1.990
O 5.730 1.951 2.952
O 3.140 -0.830 4.474
O 6.493 0.830 0.494
O 3.903 -1.951 2.016
O 6.058 -0.830 2.978
O 8.580 0.817 4.130
O 6.165 -1.951 0.468
O 9.015 -0.817 1.646
```

No. 5
For LiTaReO6, a DFT-relaxed cell (GGA-PBE, Alexandria) gives the computed powder X-ray diffraction pattern in this record (Cu Kα).
Lines closer than 0.1° are merged.

Peak list (10 most intense, 15° ≤ 2θ ≤ 90°, sorted by position)
d_spacing	2theta	I/Imax
4.525	19.62	31
4.250	20.90	73
3.404	26.18	100
2.720	32.93	29
2.556	35.11	74
2.407	37.36	23
2.095	43.19	20
1.752	52.20	64
1.702	53.86	17
1.417	65.93	19

```
18
Lattice="4.814 0.000 0.000 0.000 4.814 0.000 0.000 0.000 9.049" Properties=species:S:1:pos:R:3 pbc="T T T"
Li 0.000 0.000 0.000
Li 2.407 2.407 4.525
Ta 0.000 0.000 6.076
Ta 2.407 2.407 1.551
Re 0.000 0.000 2.972
Re 2.407 2.407 7.496
O 0.874 0.874 4.464
O 0.991 0.991 1.705
O 1.034 1.034 7.381
O 1.374 3.441 2.857
O 1.417 3.398 6.229
O 1.534 3.281 8.989
O 3.281 1.534 8.989
O 3.398 1.417 6.229
O 3.441 1.374 2.857
O 3.781 3.781 7.381
O 3.824 3.824 1.705
O 3.941 3.941 4.464
```

No. 6
For LiTmRe2O8, a DFT-relaxed cell (GGA-PBE, Alexandria) gives the computed powder X-ray diffraction pattern in this record (Cu Kα).
Lines closer than 0.1° are merged.

Peak list (10 most intense, 15° ≤ 2θ ≤ 90°, sorted by position)
d_spacing	2theta	I/Imax
3.958	22.46	100
2.966	30.13	45
2.657	33.74	26
2.373	37.91	16
1.979	45.85	16
1.853	49.16	25
1.712	53.51	9
1.697	54.03	17
1.646	55.85	14
1.389	67.44	10

```
12
Lattice="5.932 0.000 0.000 -2.966 5.137 0.000 0.000 0.000 6.208" Properties=species:S:1:pos:R:3 pbc="T T T"
Li 0.000 0.000 0.000
Tm 0.000 0.000 3.104
Re 0.000 3.425 5.080
Re 2.966 1.712 1.128
O 0.000 1.691 4.527
O -1.502 4.292 4.527
O 1.464 0.845 1.681
O 0.000 3.425 0.623
O 2.966 1.712 5.585
O 1.502 4.292 4.527
O 4.468 0.845 1.681
O 2.966 3.446 1.681
```

No. 7
For Li4RhO3, a DFT-relaxed cell (GGA-PBE, Alexandria) gives the computed powder X-ray diffraction pattern in this record (Cu Kα).
Lines closer than 0.1° are merged.

Peak list (10 most intense, 15° ≤ 2θ ≤ 90°, sorted by position)
d_spacing	2theta	I/Imax
4.808	18.45	62
4.447	19.97	68
3.987	22.30	54
3.435	25.94	38
3.283	27.16	100
2.866	31.21	42
2.800	31.97	21
2.342	38.43	25
2.216	40.72	32
2.010	45.12	23

```
16
Lattice="5.121 -2.508 0.000 5.121 2.508 0.000 -2.406 0.000 6.557" Properties=species:S:1:pos:R:3 pbc="T T T"
Li 3.302 1.705 0.795
Li 3.918 1.782 3.278
Li 2.374 0.981 5.167
Li 5.824 0.780 1.197
Li 3.577 -0.981 1.889
Li 2.100 -1.705 4.073
Li 4.622 -0.780 4.475
Li 5.121 -1.782 0.000
Rh 1.452 0.605 2.573
Rh 0.249 -0.605 5.851
O -1.424 0.036 5.053
O -0.221 -0.036 1.775
O 3.121 0.027 3.537
O 4.323 -0.027 0.258
O 6.014 0.077 5.558
O 7.217 -0.077 2.279
```

No. 8
For LiRhO2, a DFT-relaxed cell (GGA-PBE, Alexandria) gives the computed powder X-ray diffraction pattern in this record (Cu Kα).
Lines closer than 0.1° are merged.

Peak list (10 most intense, 15° ≤ 2θ ≤ 90°, sorted by position)
d_spacing	2theta	I/Imax
5.023	17.66	100
2.642	33.93	45
2.512	35.75	9
2.338	38.50	75
1.820	50.11	52
1.525	60.71	18
1.460	63.76	17
1.414	66.06	17
1.278	74.23	10
1.169	82.50	11

```
4
Lattice="3.051 0.000 0.000 -1.525 2.642 0.000 0.000 0.000 5.023" Properties=species:S:1:pos:R:3 pbc="T T T"
Li 0.000 0.000 0.000
Rh 0.000 0.000 2.512
O 0.000 1.761 1.389
O 1.525 0.881 3.634
```

No. 9
For LiRhO4, a DFT-relaxed cell (GGA-PBE, Alexandria) gives the computed powder X-ray diffraction pattern in this record (Cu Kα).
Lines closer than 0.1° are merged.

Peak list (10 most intense, 15° ≤ 2θ ≤ 90°, sorted by position)
d_spacing	2theta	I/Imax
4.388	20.24	100
4.332	20.50	50
3.035	29.43	31
2.773	32.28	24
2.508	35.80	33
2.420	37.15	58
2.289	39.37	31
1.967	46.15	16
1.756	52.08	16
1.727	53.01	14

```
12
Lattice="3.133 -3.813 0.000 3.133 3.813 0.000 -3.025 0.000 5.016" Properties=species:S:1:pos:R:3 pbc="T T T"
Li 0.864 2.780 3.762
Li 2.377 -2.780 1.254
Rh 2.377 0.777 1.254
Rh 0.864 -0.777 3.762
O 0.937 2.125 1.638
O -0.825 0.493 4.231
O 0.688 -0.493 1.723
O 3.816 2.125 0.870
O -0.576 -2.125 4.147
O 2.553 0.493 3.293
O 4.066 -0.493 0.785
O 2.303 -2.125 3.378
```

No. 10
For Li3Rh3O8, a DFT-relaxed cell (GGA-PBE, Alexandria) gives the computed powder X-ray diffraction pattern in this record (Cu Kα).
Lines closer than 0.1° are merged.

Peak list (10 most intense, 15° ≤ 2θ ≤ 90°, sorted by position)
d_spacing	2theta	I/Imax
4.969	17.85	38
4.788	18.53	100
4.263	20.84	21
2.604	34.44	53
2.484	36.15	18
2.131	42.41	57
1.622	56.75	17
1.529	60.57	20
1.486	62.49	17
1.456	63.92	19

```
14
Lattice="3.058 1.765 4.788 -3.058 1.765 4.788 0.000 -3.531 4.788" Properties=species:S:1:pos:R:3 pbc="T T T"
Li 0.000 0.000 0.000
Li 0.000 0.000 5.488
Li 0.000 0.000 8.877
Rh -3.058 0.000 7.183
Rh -1.529 0.883 2.394
Rh 1.529 0.883 2.394
O -1.649 -0.952 8.212
O 0.000 0.000 3.446
O 0.000 -1.905 6.153
O -1.649 0.952 6.153
O 1.649 -0.952 8.212
O 0.000 1.905 8.212
O 0.000 0.000 10.919
O 1.649 0.952 6.153
```

No. 11
For Li4RhO5, a DFT-relaxed cell (GGA-PBE, Alexandria) gives the computed powder X-ray diffraction pattern in this record (Cu Kα).
Lines closer than 0.1° are merged.

Peak list (10 most intense, 15° ≤ 2θ ≤ 90°, sorted by position)
d_spacing	2theta	I/Imax
4.648	19.10	100
3.498	25.46	98
3.286	27.13	38
2.395	37.55	33
2.078	43.54	49
2.066	43.82	21
1.888	48.20	17
1.668	55.06	19
1.487	62.44	16
1.465	63.49	28

```
10
Lattice="-3.286 3.286 2.066 3.286 -3.286 2.066 3.286 3.286 -2.066" Properties=species:S:1:pos:R:3 pbc="T T T"
Li 4.575 0.634 0.000
Li 0.634 1.998 0.000
Li 2.653 1.288 2.066
Li -1.288 2.653 2.066
Rh 0.000 0.000 2.066
O 0.000 0.000 0.000
O 2.689 1.442 0.000
O 1.844 -0.597 2.066
O 1.442 3.884 0.000
O 0.597 1.844 2.066
```

No. 12
For LiSnRh2O6, a DFT-relaxed cell (GGA-PBE, Alexandria) gives the computed powder X-ray diffraction pattern in this record (Cu Kα).
Lines closer than 0.1° are merged.

Peak list (10 most intense, 15° ≤ 2θ ≤ 90°, sorted by position)
d_spacing	2theta	I/Imax
5.160	17.19	28
5.005	17.72	40
3.593	24.78	24
2.948	30.32	100
2.580	34.77	35
2.064	43.87	30
1.824	50.00	24
1.796	50.83	19
1.551	59.60	29
1.401	66.77	15

```
10
Lattice="5.160 0.000 0.000 0.000 5.160 0.000 0.000 0.000 5.005" Properties=species:S:1:pos:R:3 pbc="T T T"
Li 0.000 0.000 0.000
Sn 2.580 2.580 4.937
Rh 0.000 2.580 1.799
Rh 2.580 0.000 1.799
O 0.000 0.000 3.040
O 1.279 1.279 0.901
O 1.279 3.881 0.901
O 2.580 2.580 3.008
O 3.881 1.279 0.901
O 3.881 3.881 0.901
```

Please write out number 1 again, unchanged.
For RbLi2Zr3O8, a DFT-relaxed cell (GGA-PBE, Alexandria) gives the computed powder X-ray diffraction pattern in this record (Cu Kα).
Lines closer than 0.1° are merged.

Peak list (10 most intense, 15° ≤ 2θ ≤ 90°, sorted by position)
d_spacing	2theta	I/Imax
5.458	16.24	38
4.932	17.99	70
3.745	23.76	76
3.322	26.84	41
2.939	30.42	67
2.809	31.85	100
2.466	36.44	61
2.010	45.11	83
1.872	48.63	35
1.638	56.14	42

```
14
Lattice="3.277 1.892 6.644 -3.277 1.892 6.644 0.000 -3.784 6.644" Properties=species:S:1:pos:R:3 pbc="T T T"
Rb 0.000 0.000 0.000
Li 0.000 0.000 6.194
Li 0.000 0.000 16.014
Zr 0.000 -1.869 10.446
Zr -1.618 0.934 10.446
Zr 1.618 0.934 10.446
O 0.000 -1.560 5.043
O -1.351 0.780 5.043
O 0.000 0.000 2.745
O -1.600 -0.924 9.488
O 1.351 0.780 5.043
O 0.000 0.000 11.516
O 1.600 -0.924 9.488
O 0.000 1.848 9.488
```